Diffraction record for WO3. The XRD peak list is computed, not measured: it uses the GGA+U geometry in the Materials Project and Cu Kα, 1.54184 Å.

Atomic structure:
```
data_WO3
_chemical_formula_sum 'W4 O12'
_symmetry_space_group_name_H-M 'P -4 21 m'
_symmetry_Int_Tables_number 113
_symmetry_space_group_name_Hall 'P -4 2ab'
_cell_length_a 7.719
_cell_length_b 7.719
_cell_length_c 3.883
_cell_angle_alpha 90.00
_cell_angle_beta 90.00
_cell_angle_gamma 90.00
loop_
_atom_site_label
_atom_site_fract_x
_atom_site_fract_y
_atom_site_fract_z
W1 0.240 0.260 0.469
O1 0.003 0.750 0.499
O2 0.248 0.252 0.993
```

Main lines, by intensity (2θ = 5–70°):
| hkl | Position (°2θ) | intensity |
| --- | --- | --- |
| 2 0 0 | 23.05 | 100 |
| 2 0 1 | 32.72 | 54 |
| 0 0 1 | 22.91 | 50 |
| 4 2 0 | 53.03 | 38 |
| 2 2 0 | 32.82 | 27 |
| 4 2 1 | 58.53 | 20 |
| 2 2 1 | 40.40 | 19 |
| 4 0 0 | 47.10 | 19 |


Diffraction record for YWO5. The XRD peak list is computed, not measured: it uses the GGA+U geometry in the Materials Project and Cu Kα, 1.54184 Å.

Atomic structure:
```
data_YWO5
_chemical_formula_sum 'Y4 W4 O20'
_symmetry_space_group_name_H-M 'P 1 21/c 1'
_symmetry_Int_Tables_number 14
_symmetry_space_group_name_Hall '-P 2ybc'
_cell_length_a 5.303
_cell_length_b 12.794
_cell_length_c 6.999
_cell_angle_alpha 90.00
_cell_angle_beta 116.89
_cell_angle_gamma 90.00
loop_
_atom_site_label
_atom_site_fract_x
_atom_site_fract_y
_atom_site_fract_z
Y1 0.139 0.056 0.283
W1 0.390 0.139 0.846
O1 0.021 0.088 0.565
O2 0.199 0.066 0.972
O3 0.267 0.647 0.423
O4 0.293 0.226 0.292
O5 0.489 0.571 0.843
```

Main lines, by intensity (2θ = 5–70°):
| hkl | Position (°2θ) | intensity |
| --- | --- | --- |
| 1 3 -1 | 27.45 | 100 |
| 1 1 0 | 20.01 | 97 |
| 1 2 1 | 31.69 | 83 |
| 1 1 -2 | 27.07 | 79 |
| 0 2 1 | 19.87 | 58 |
| 1 2 -1 | 22.52 | 52 |
| 0 4 0 | 27.90 | 42 |
| 0 1 2 | 29.46 | 40 |


Diffraction record for Y2W2O9. The XRD peak list is computed, not measured: it uses the GGA+U geometry in the Materials Project and Cu Kα, 1.54184 Å.

Atomic structure:
```
data_Y2W2O9
_chemical_formula_sum 'Y16 W16 O72'
_symmetry_space_group_name_H-M 'C 2 2 21'
_symmetry_Int_Tables_number 20
_symmetry_space_group_name_Hall 'C 2c 2'
_cell_length_a 11.798
_cell_length_b 15.665
_cell_length_c 7.213
_cell_angle_alpha 90.00
_cell_angle_beta 90.00
_cell_angle_gamma 90.00
loop_
_atom_site_label
_atom_site_fract_x
_atom_site_fract_y
_atom_site_fract_z
Y1 0.000 0.228 0.250
Y2 0.000 0.229 0.750
Y3 0.236 0.355 0.498
W1 0.000 0.499 0.250
W2 0.047 0.000 0.000
W3 0.230 0.377 0.997
O1 0.000 0.003 0.250
O2 0.032 0.121 0.994
O3 0.058 0.500 0.500
O4 0.080 0.289 0.498
O5 0.110 0.414 0.187
O6 0.111 0.414 0.807
O7 0.155 0.268 0.995
O8 0.179 0.150 0.294
O9 0.181 0.150 0.701
O10 0.202 0.000 0.000
O11 0.223 0.000 0.500
```

Main lines, by intensity (2θ = 5–70°):
| hkl | Position (°2θ) | intensity |
| --- | --- | --- |
| 2 4 0 | 27.33 | 100 |
| 2 0 2 | 29.02 | 44 |
| 3 1 1 | 26.45 | 39 |
| 1 3 2 | 31.08 | 33 |
| 4 4 2 | 46.01 | 32 |
| 4 0 0 | 30.30 | 29 |
| 2 4 4 | 58.48 | 23 |
| 0 4 2 | 33.79 | 18 |


Diffraction record for YWO3. The XRD peak list is computed, not measured: it uses the GGA+U geometry in the Materials Project and Cu Kα, 1.54184 Å.

Atomic structure:
```
data_YWO3
_chemical_formula_sum 'Y2 W2 O6'
_symmetry_space_group_name_H-M 'P 63/m m c'
_symmetry_Int_Tables_number 194
_symmetry_space_group_name_Hall '-P 6c 2c'
_cell_length_a 3.6086
_cell_length_b 3.6086
_cell_length_c 12.6900
_cell_angle_alpha 90.00
_cell_angle_beta 90.00
_cell_angle_gamma 120.00
loop_
_atom_site_label
_atom_site_fract_x
_atom_site_fract_y
_atom_site_fract_z
Y1 0.0000 0.0000 0.0000
W1 0.3333 0.6667 0.2500
O1 0.0000 0.0000 0.2500
O2 0.3333 0.6667 0.0809
```

Main lines, by intensity (2θ = 5–70°):
| hkl | Position (°2θ) | intensity |
| --- | --- | --- |
| 1 0 1 | 29.44 | 100 |
| 1 0 2 | 31.92 | 67 |
| 1 1 4 | 58.89 | 49 |
| 0 0 4 | 28.13 | 48 |
| 1 1 0 | 50.59 | 38 |
| 1 0 3 | 35.72 | 34 |
| 1 0 5 | 46.07 | 30 |
| 0 0 2 | 13.96 | 24 |


Diffraction record for Y2W2O9. The XRD peak list is computed, not measured: it uses the GGA+U geometry in the Materials Project and Cu Kα, 1.54184 Å.

Atomic structure:
```
data_Y2W2O9
_chemical_formula_sum 'Y8 W8 O36'
_symmetry_space_group_name_H-M 'P 1 21/c 1'
_symmetry_Int_Tables_number 14
_symmetry_space_group_name_Hall '-P 2ybc'
_cell_length_a 7.691
_cell_length_b 9.749
_cell_length_c 9.239
_cell_angle_alpha 90.00
_cell_angle_beta 108.43
_cell_angle_gamma 90.00
loop_
_atom_site_label
_atom_site_fract_x
_atom_site_fract_y
_atom_site_fract_z
Y1 0.207 0.050 0.429
Y2 0.274 0.057 0.845
W1 0.075 0.727 0.464
W2 0.432 0.749 0.764
O1 0.002 0.093 0.184
O2 0.058 0.102 0.610
O3 0.098 0.202 0.934
O4 0.231 0.635 0.139
O5 0.245 0.679 0.863
O6 0.275 0.618 0.581
O7 0.392 0.216 0.334
O8 0.436 0.089 0.650
O9 0.494 0.114 0.092
```

Main lines, by intensity (2θ = 5–70°):
| hkl | Position (°2θ) | intensity |
| --- | --- | --- |
| 1 0 2 | 26.84 | 100 |
| 2 1 -2 | 27.96 | 92 |
| 1 2 -2 | 27.22 | 82 |
| 2 2 0 | 30.60 | 64 |
| 0 2 0 | 18.20 | 49 |
| 1 3 0 | 30.10 | 43 |
| 1 1 0 | 15.17 | 33 |
| 1 4 2 | 46.19 | 31 |